[1]
# Mg6ScAg2
Theoretical powder diffractogram, Cu Kα, 1.54184 Å. Input: the PBE geometry in Alexandria.

Main lines, low angle first (5° ≤ 2θ ≤ 70°):
2θ (°)  intensity
8.02  1000
21.01  414
22.52  307
29.89  258
31.00  306
32.27  309
34.12  326
38.83  217
39.00  370
42.78  354
46.43  159
59.26  202

```
Mg6ScAg2
1.0
4.2275 0.0000 0.0000
0.0000 4.2275 0.0000
0.0000 0.0000 11.0293
Mg Sc Ag
6 1 2
Direct
0.0000 0.0000 0.0000
0.0000 0.5000 0.2209
0.0000 0.5000 0.7791
0.5000 0.0000 0.2209
0.5000 0.0000 0.7791
0.5000 0.5000 0.0000
0.0000 0.0000 0.5000
0.5000 0.5000 0.3803
0.5000 0.5000 0.6197
```

[2]
# Ce2PuCd
Theoretical powder diffractogram, Cu Kα, 1.54184 Å. Input: the PBE geometry in Alexandria.

Main lines, low angle first (5° ≤ 2θ ≤ 70°):
2θ (°)  intensity
16.13  107
22.89  16
30.47  49
32.59  589
34.66  1000
36.56  31
45.21  36
46.75  216
52.76  80
59.49  422
63.41  174
68.27  70

```
Ce2PuCd
1.0
5.4955 0.0000 0.0000
0.0000 5.4955 0.0000
0.0000 0.0000 3.4697
Ce Pu Cd
2 1 1
Direct
0.0000 0.5000 0.0000
0.5000 0.0000 0.0000
0.0000 0.0000 0.5000
0.5000 0.5000 0.5000
```

[3]
# Li3AsH36Se4N12
Theoretical powder diffractogram, Cu Kα, 1.54184 Å. Input: the PBE geometry in Alexandria.

Main lines, low angle first (5° ≤ 2θ ≤ 70°):
2θ (°)  intensity
11.74  1000
20.41  353
29.03  649
31.41  239
33.64  198
35.75  116
43.29  224
46.69  117
48.32  250
52.97  106
55.92  80
57.36  198

```
Li3AsH36Se4N12
1.0
-5.3280 5.3280 5.3280
5.3280 -5.3280 5.3280
5.3280 5.3280 -5.3280
Li As H Se N
3 1 36 4 12
Direct
0.0000 0.5000 0.5000
0.5000 0.0000 0.5000
0.5000 0.5000 0.0000
0.0000 0.0000 0.0000
0.0000 0.6178 0.7907
0.0000 0.7907 0.6178
0.1073 0.5116 0.8239
0.1073 0.8239 0.5116
0.1730 0.3822 0.3822
0.1761 0.2834 0.6877
0.1761 0.6877 0.2834
0.2093 0.2093 0.8270
0.2093 0.8270 0.2093
0.2834 0.1761 0.6877
0.2834 0.6877 0.1761
0.3123 0.4884 0.5957
0.3123 0.5957 0.4884
0.3822 0.1730 0.3822
0.3822 0.3822 0.1730
0.4043 0.7166 0.8927
0.4043 0.8927 0.7166
0.4884 0.3123 0.5957
0.4884 0.5957 0.3123
0.5116 0.1073 0.8239
0.5116 0.8239 0.1073
0.5957 0.3123 0.4884
0.5957 0.4884 0.3123
0.6178 0.0000 0.7907
0.6178 0.7907 0.0000
0.6877 0.1761 0.2834
0.6877 0.2834 0.1761
0.7166 0.4043 0.8927
0.7166 0.8927 0.4043
0.7907 0.0000 0.6178
0.7907 0.6178 0.0000
0.8239 0.1073 0.5116
0.8239 0.5116 0.1073
0.8270 0.2093 0.2093
0.8927 0.4043 0.7166
0.8927 0.7166 0.4043
0.0000 0.0000 0.2551
0.0000 0.2551 0.0000
0.2551 0.0000 0.0000
0.7449 0.7449 0.7449
0.0000 0.5015 0.7306
0.0000 0.7306 0.5015
0.2291 0.4985 0.4985
0.2694 0.2694 0.7709
0.2694 0.7709 0.2694
0.4985 0.2291 0.4985
0.4985 0.4985 0.2291
0.5015 0.0000 0.7306
0.5015 0.7306 0.0000
0.7306 0.0000 0.5015
0.7306 0.5015 0.0000
0.7709 0.2694 0.2694
```

[4]
# TmPd5Au4
Theoretical powder diffractogram, Cu Kα, 1.54184 Å. Input: the PBE geometry in Alexandria.

Main lines, low angle first (5° ≤ 2θ ≤ 70°):
2θ (°)  intensity
20.74  111
28.41  222
28.67  208
33.80  133
34.34  359
37.52  131
38.33  553
42.19  471
42.33  1000
43.66  147
48.39  105
67.50  184

```
TmPd5Au4
1.0
8.2923 0.0000 0.0000
0.0000 9.3938 0.0000
0.0000 0.0000 4.8133
Tm Pd Au
2 10 8
Direct
0.2500 0.2500 0.1201
0.7500 0.7500 0.8799
0.0816 0.5066 0.2436
0.0816 0.9934 0.2436
0.2500 0.7500 0.0764
0.4184 0.5066 0.2436
0.4184 0.9934 0.2436
0.5816 0.0066 0.7564
0.5816 0.4934 0.7564
0.7500 0.2500 0.9236
0.9184 0.0066 0.7564
0.9184 0.4934 0.7564
0.0560 0.7500 0.5784
0.2500 0.0057 0.7402
0.2500 0.4943 0.7402
0.4440 0.7500 0.5784
0.5560 0.2500 0.4216
0.7500 0.5057 0.2598
0.7500 0.9943 0.2598
0.9440 0.2500 0.4216
```